Entry 1:
The following is a computed X-ray diffraction stick pattern of Ag14Sb2S9. It was derived from the GGA-PBE geometry in Alexandria, using Cu Ka.

Top 10 peaks for 2θ from 10° to 80°, sorted by position:
- 22.15 deg, I 62
- 28.32 deg, I 99
- 28.65 deg, I 59
- 29.19 deg, I 89
- 30.74 deg, I 100
- 33.76 deg, I 55
- 34.72 deg, I 56
- 36.47 deg, I 72
- 38.97 deg, I 46
- 41.99 deg, I 52

Cell and atoms:
Cell lengths 7.1871, 7.7509, 10.3270 Å; angles 90.72, 93.78, 110.87 degrees
Element x y z (fractional)
Ag 0.0147 0.1701 0.1182
Ag 0.1984 0.8801 0.6502
Ag 0.2175 0.5677 0.0535
Ag 0.2567 0.1140 0.3538
Ag 0.3323 0.6526 0.4660
Ag 0.4157 0.0851 0.8877
Ag 0.4680 0.3164 0.1362
Ag 0.5320 0.6836 0.8638
Ag 0.5843 0.9149 0.1123
Ag 0.6677 0.3474 0.5340
Ag 0.7433 0.8860 0.6462
Ag 0.7825 0.4323 0.9465
Ag 0.8016 0.1199 0.3498
Ag 0.9853 0.8299 0.8818
Sb 0.1458 0.2420 0.7233
Sb 0.8542 0.7580 0.2767
S 0.1270 0.5904 0.8150
S 0.1351 0.3197 0.4924
S 0.2469 0.9860 0.1069
S 0.4754 0.6110 0.2439
S 0.5000 0.0000 0.5000
S 0.5246 0.3890 0.7561
S 0.7531 0.0140 0.8931
S 0.8649 0.6803 0.5076
S 0.8730 0.4096 0.1850

Entry 2:
The following is a computed X-ray diffraction stick pattern of Ag3SbS4. It was derived from the GGA-PBE geometry in Alexandria, using Cu Ka.

Top 10 peaks for 2θ from 10° to 80°, sorted by position:
- 26.46 deg, I 100
- 30.54 deg, I 16
- 30.86 deg, I 8
- 43.73 deg, I 19
- 43.97 deg, I 37
- 51.84 deg, I 29
- 52.26 deg, I 14
- 54.48 deg, I 6
- 70.09 deg, I 6
- 70.44 deg, I 11

Cell and atoms:
Cell lengths 5.8553, 5.8553, 11.5895 Å; angles 90.00, 90.00, 90.00 degrees
Element x y z (fractional)
Ag 0.0000 0.0000 0.0000
Ag 0.0000 0.5000 0.2500
Ag 0.0000 0.5000 0.7500
Ag 0.5000 0.0000 0.2500
Ag 0.5000 0.0000 0.7500
Ag 0.5000 0.5000 0.5000
Sb 0.0000 0.0000 0.5000
Sb 0.5000 0.5000 0.0000
S 0.2369 0.2369 0.3789
S 0.2369 0.7631 0.6211
S 0.2631 0.2631 0.8789
S 0.2631 0.7369 0.1211
S 0.7369 0.2631 0.1211
S 0.7369 0.7369 0.8789
S 0.7631 0.2369 0.6211
S 0.7631 0.7631 0.3789

Entry 3:
The following is a computed X-ray diffraction stick pattern of Ag4Sb2S5. It was derived from the GGA-PBE geometry in Alexandria, using Cu Ka.

Top 10 peaks for 2θ from 10° to 80°, sorted by position:
- 25.58 deg, I 36
- 27.52 deg, I 60
- 31.36 deg, I 100
- 31.60 deg, I 33
- 34.96 deg, I 25
- 43.29 deg, I 75
- 46.55 deg, I 20
- 51.45 deg, I 18
- 54.42 deg, I 20
- 54.58 deg, I 40

Cell and atoms:
Cell lengths 17.1575, 17.1575, 17.1575 Å; angles 13.99, 13.99, 13.99 degrees
Element x y z (fractional)
Ag 0.0846 0.0846 0.0846
Ag 0.1946 0.1946 0.1946
Ag 0.8054 0.8054 0.8054
Ag 0.9154 0.9154 0.9154
Sb 0.3646 0.3646 0.3646
Sb 0.6354 0.6354 0.6354
S 0.0000 0.0000 0.0000
S 0.1327 0.1327 0.1327
S 0.2750 0.2750 0.2750
S 0.7250 0.7250 0.7250
S 0.8673 0.8673 0.8673

Entry 4:
The following is a computed X-ray diffraction stick pattern of AgSb2TeS3. It was derived from the GGA-PBE geometry in Alexandria, using Cu Ka.

Top 10 peaks for 2θ from 10° to 80°, sorted by position:
- 22.22 deg, I 69
- 25.51 deg, I 32
- 25.90 deg, I 70
- 26.09 deg, I 55
- 31.31 deg, I 100
- 33.63 deg, I 37
- 34.82 deg, I 36
- 44.38 deg, I 48
- 45.34 deg, I 79
- 46.84 deg, I 36

Cell and atoms:
Cell lengths 8.1679, 8.1679, 8.1679 Å; angles 58.66, 58.66, 58.66 degrees
Element x y z (fractional)
Ag 0.0929 0.0929 0.0929
Ag 0.9071 0.9071 0.9071
Sb 0.0000 0.5000 0.5000
Sb 0.5000 0.0000 0.5000
Sb 0.5000 0.5000 0.0000
Sb 0.5000 0.5000 0.5000
Te 0.2371 0.2371 0.2371
Te 0.7629 0.7629 0.7629
S 0.2563 0.2563 0.7196
S 0.2563 0.7196 0.2563
S 0.2804 0.7437 0.7437
S 0.7196 0.2563 0.2563
S 0.7437 0.2804 0.7437
S 0.7437 0.7437 0.2804

Entry 5:
The following is a computed X-ray diffraction stick pattern of Tl3Ag3Sb2S6. It was derived from the GGA-PBE geometry in Alexandria, using Cu Ka.

Top 10 peaks for 2θ from 10° to 80°, sorted by position:
- 22.25 deg, I 29
- 23.47 deg, I 29
- 23.65 deg, I 59
- 26.35 deg, I 25
- 26.81 deg, I 100
- 27.71 deg, I 41
- 29.26 deg, I 81
- 30.01 deg, I 65
- 31.66 deg, I 46
- 32.85 deg, I 49

Cell and atoms:
Cell lengths 11.5128, 12.1764, 12.2096 Å; angles 90.00, 119.86, 90.00 degrees
Element x y z (fractional)
Tl 0.1638 0.2487 0.2275
Tl 0.1638 0.2513 0.7275
Tl 0.1942 0.5059 0.4661
Tl 0.1942 0.9941 0.9661
Tl 0.2120 0.6133 0.1117
Tl 0.2120 0.8867 0.6117
Tl 0.7880 0.1133 0.3883
Tl 0.7880 0.3867 0.8883
Tl 0.8058 0.0059 0.0339
Tl 0.8058 0.4941 0.5339
Tl 0.8362 0.7487 0.2725
Tl 0.8362 0.7513 0.7725
Ag 0.1160 0.1510 0.4269
Ag 0.1160 0.3490 0.9269
Ag 0.4698 0.6361 0.4243
Ag 0.4698 0.8639 0.9243
Ag 0.4712 0.6289 0.0523
Ag 0.4712 0.8711 0.5523
Ag 0.5288 0.1289 0.4477
Ag 0.5288 0.3711 0.9477
Ag 0.5302 0.1361 0.0757
Ag 0.5302 0.3639 0.5757
Ag 0.8840 0.6510 0.0731
Ag 0.8840 0.8490 0.5731
Sb 0.1689 0.5954 0.7595
Sb 0.1689 0.9046 0.2595
Sb 0.4994 0.1439 0.7444
Sb 0.4994 0.3561 0.2444
Sb 0.5006 0.6439 0.7556
Sb 0.5006 0.8561 0.2556
Sb 0.8311 0.0954 0.7405
Sb 0.8311 0.4046 0.2405
S 0.0019 0.6844 0.5574
S 0.0019 0.8156 0.0574
S 0.0053 0.5331 0.8207
S 0.0053 0.9669 0.3207
S 0.2676 0.7477 0.4038
S 0.2676 0.7523 0.9038
S 0.3585 0.0790 0.5246
S 0.3585 0.4210 0.0246
S 0.3724 0.0729 0.8433
S 0.3724 0.4271 0.3433
S 0.4169 0.1666 0.2100
S 0.4169 0.3334 0.7100
S 0.5831 0.6666 0.2900
S 0.5831 0.8334 0.7900
S 0.6276 0.5729 0.6567
S 0.6276 0.9271 0.1567
S 0.6415 0.5790 0.9754
S 0.6415 0.9210 0.4754
S 0.7324 0.2477 0.0962
S 0.7324 0.2523 0.5962
S 0.9947 0.0331 0.6793
S 0.9947 0.4669 0.1793
S 0.9981 0.1844 0.9426
S 0.9981 0.3156 0.4426

Entry 6:
The following is a computed X-ray diffraction stick pattern of ScAg6S4. It was derived from the GGA-PBE geometry in Alexandria, using Cu Ka.

Top 10 peaks for 2θ from 10° to 80°, sorted by position:
- 14.29 deg, I 19
- 20.26 deg, I 10
- 28.83 deg, I 70
- 32.31 deg, I 14
- 35.54 deg, I 10
- 41.23 deg, I 100
- 51.09 deg, I 14
- 59.66 deg, I 10
- 67.60 deg, I 11
- 75.11 deg, I 15

Cell and atoms:
Cell lengths 8.7666, 8.7666, 6.1824 Å; angles 90.00, 90.00, 90.00 degrees
Element x y z (fractional)
Sc 0.2500 0.7500 0.2500
Sc 0.7500 0.2500 0.7500
Ag 0.0184 0.5184 0.7500
Ag 0.0184 0.9816 0.7500
Ag 0.2500 0.2500 0.1875
Ag 0.2500 0.2500 0.6875
Ag 0.4816 0.5184 0.7500
Ag 0.4816 0.9816 0.7500
Ag 0.5184 0.0184 0.2500
Ag 0.5184 0.4816 0.2500
Ag 0.7500 0.7500 0.3125
Ag 0.7500 0.7500 0.8125
Ag 0.9816 0.0184 0.2500
Ag 0.9816 0.4816 0.2500
S 0.0178 0.7500 0.4757
S 0.2500 0.5178 0.0243
S 0.2500 0.9822 0.0243
S 0.4822 0.7500 0.4757
S 0.5178 0.2500 0.5243
S 0.7500 0.0178 0.9757
S 0.7500 0.4822 0.9757
S 0.9822 0.2500 0.5243

Please write out number 6 again, unchanged.
The following is a computed X-ray diffraction stick pattern of ScAg6S4. It was derived from the GGA-PBE geometry in Alexandria, using Cu Ka.

Top 10 peaks for 2θ from 10° to 80°, sorted by position:
- 14.29 deg, I 19
- 20.26 deg, I 10
- 28.83 deg, I 70
- 32.31 deg, I 14
- 35.54 deg, I 10
- 41.23 deg, I 100
- 51.09 deg, I 14
- 59.66 deg, I 10
- 67.60 deg, I 11
- 75.11 deg, I 15

Cell and atoms:
Cell lengths 8.7666, 8.7666, 6.1824 Å; angles 90.00, 90.00, 90.00 degrees
Element x y z (fractional)
Sc 0.2500 0.7500 0.2500
Sc 0.7500 0.2500 0.7500
Ag 0.0184 0.5184 0.7500
Ag 0.0184 0.9816 0.7500
Ag 0.2500 0.2500 0.1875
Ag 0.2500 0.2500 0.6875
Ag 0.4816 0.5184 0.7500
Ag 0.4816 0.9816 0.7500
Ag 0.5184 0.0184 0.2500
Ag 0.5184 0.4816 0.2500
Ag 0.7500 0.7500 0.3125
Ag 0.7500 0.7500 0.8125
Ag 0.9816 0.0184 0.2500
Ag 0.9816 0.4816 0.2500
S 0.0178 0.7500 0.4757
S 0.2500 0.5178 0.0243
S 0.2500 0.9822 0.0243
S 0.4822 0.7500 0.4757
S 0.5178 0.2500 0.5243
S 0.7500 0.0178 0.9757
S 0.7500 0.4822 0.9757
S 0.9822 0.2500 0.5243